(1)
Computed PXRD pattern
Compound: Pm3SnBr3
Radiation: Cu Kα (λ = 1.5418 Å)
Structure: DFT lattice parameters and positions (PBE)
Peak positions follow from Bragg's law for the DFT cell and can differ from measured ones.

Cell lengths 11.705, 11.705, 11.705 Å; angles 36.57, 36.57, 36.57 degrees
Positions (direct):
Pm 0.055 0.384 0.726
Pm 0.274 0.945 0.616
Pm 0.384 0.726 0.055
Pm 0.616 0.274 0.945
Pm 0.726 0.055 0.384
Pm 0.945 0.616 0.274
Sn 0.333 0.333 0.333
Sn 0.667 0.667 0.667
Br 0.109 0.770 0.449
Br 0.230 0.551 0.891
Br 0.449 0.109 0.770
Br 0.551 0.891 0.230
Br 0.770 0.449 0.109
Br 0.891 0.230 0.551

Largest 12 diffraction maxima, by angle, 2θ = 10–90°:
- 16.25°, d 5.455, rel. 11
- 24.23°, d 3.673, rel. 12
- 25.59°, d 3.481, rel. 10
- 29.32°, d 3.047, rel. 100
- 34.71°, d 2.584, rel. 9
- 41.23°, d 2.190, rel. 40
- 42.64°, d 2.120, rel. 34
- 52.59°, d 1.740, rel. 20
- 60.81°, d 1.523, rel. 13
- 67.90°, d 1.380, rel. 17
- 69.93°, d 1.345, rel. 16
- 77.09°, d 1.237, rel. 13

(2)
Computed PXRD pattern
Compound: NaLiZnSb2
Radiation: Cu Kα (λ = 1.5418 Å)
Structure: DFT lattice parameters and positions (PBE)
Peak positions follow from Bragg's law for the DFT cell and can differ from measured ones.

Cell lengths 4.660, 4.660, 11.625 Å; angles 90.00, 90.00, 90.00 degrees
Positions (direct):
Na 0.000 0.000 0.000
Na 0.500 0.500 0.500
Li 0.000 0.500 0.250
Li 0.500 0.000 0.750
Zn 0.000 0.500 0.750
Zn 0.500 0.000 0.250
Sb 0.000 0.000 0.377
Sb 0.000 0.000 0.623
Sb 0.500 0.500 0.123
Sb 0.500 0.500 0.877

Largest 12 diffraction maxima, by angle, 2θ = 10–90°:
- 20.53°, d 4.326, rel. 100
- 27.06°, d 3.295, rel. 35
- 29.99°, d 2.980, rel. 60
- 31.20°, d 2.867, rel. 15
- 38.64°, d 2.330, rel. 44
- 41.42°, d 2.180, rel. 53
- 43.50°, d 2.081, rel. 24
- 44.15°, d 2.052, rel. 27
- 49.67°, d 1.836, rel. 29
- 55.79°, d 1.648, rel. 15
- 59.57°, d 1.552, rel. 19
- 71.82°, d 1.314, rel. 20

(3)
Computed PXRD pattern
Compound: Ga6Sn2Pb5
Radiation: Cu Kα (λ = 1.5418 Å)
Structure: DFT lattice parameters and positions (PBE)
Peak positions follow from Bragg's law for the DFT cell and can differ from measured ones.

Cell lengths 10.274, 10.274, 10.274 Å; angles 43.61, 43.61, 43.61 degrees
Positions (direct):
Ga 0.000 0.333 0.667
Ga 0.000 0.667 0.333
Ga 0.333 0.000 0.667
Ga 0.333 0.667 0.000
Ga 0.667 0.000 0.333
Ga 0.667 0.333 0.000
Sn 0.396 0.396 0.396
Sn 0.604 0.604 0.604
Pb 0.069 0.069 0.069
Pb 0.262 0.262 0.262
Pb 0.500 0.500 0.500
Pb 0.738 0.738 0.738
Pb 0.931 0.931 0.931

Largest 12 diffraction maxima, by angle, 2θ = 10–90°:
- 18.51°, d 4.793, rel. 16
- 23.31°, d 3.817, rel. 100
- 30.32°, d 2.948, rel. 81
- 37.42°, d 2.403, rel. 79
- 40.96°, d 2.204, rel. 64
- 47.66°, d 1.908, rel. 16
- 51.80°, d 1.765, rel. 19
- 56.67°, d 1.624, rel. 24
- 57.70°, d 1.598, rel. 20
- 65.78°, d 1.420, rel. 16
- 68.06°, d 1.378, rel. 17
- 72.27°, d 1.307, rel. 24

(4)
Computed PXRD pattern
Compound: Na3Li2I6
Radiation: Cu Kα (λ = 1.5418 Å)
Structure: DFT lattice parameters and positions (PBE)
Peak positions follow from Bragg's law for the DFT cell and can differ from measured ones.

Cell lengths 20.957, 20.957, 20.957 Å; angles 12.30, 12.30, 12.30 degrees
Positions (direct):
Na 0.000 0.000 0.000
Na 0.272 0.272 0.272
Na 0.728 0.728 0.728
Li 0.456 0.456 0.456
Li 0.544 0.544 0.544
I 0.093 0.093 0.093
I 0.190 0.190 0.190
I 0.364 0.364 0.364
I 0.636 0.636 0.636
I 0.810 0.810 0.810
I 0.907 0.907 0.907

Largest 12 diffraction maxima, by angle, 2θ = 10–90°:
- 23.58°, d 3.773, rel. 25
- 24.99°, d 3.564, rel. 41
- 25.70°, d 3.466, rel. 17
- 27.02°, d 3.300, rel. 13
- 27.82°, d 3.207, rel. 100
- 39.32°, d 2.291, rel. 29
- 40.17°, d 2.245, rel. 41
- 48.30°, d 1.884, rel. 18
- 48.35°, d 1.882, rel. 9
- 49.57°, d 1.839, rel. 20
- 64.41°, d 1.446, rel. 11
- 65.63°, d 1.423, rel. 17